# TeF6
Simulated powder XRD pattern, CuKα. Input: a DFT-relaxed cell (PBE, Alexandria).

Structure:
```
data_TeF6
_cell_length_a 10.017
_cell_length_b 9.026
_cell_length_c 5.240
_cell_angle_alpha 90.00
_cell_angle_beta 90.00
_cell_angle_gamma 90.00
_space_group_name_H-M_alt 'P n m a'
_space_group_IT_number 62
loop_
_space_group_symop_operation_xyz
'x,y,z'
'-x,-y,-z'
'-x+1/2,-y,z+1/2'
'x+1/2,y,-z+1/2'
'x+1/2,-y+1/2,-z+1/2'
'-x+1/2,y+1/2,z+1/2'
'-x,y+1/2,-z'
'x,-y+1/2,z'
loop_
_atom_site_label
_atom_site_type_symbol
_atom_site_fract_x
_atom_site_fract_y
_atom_site_fract_z
Te1 Te 0.128 0.250 0.093
F1 F 0.015 0.250 0.810
F2 F 0.023 0.104 0.246
F3 F 0.233 0.104 0.941
F4 F 0.240 0.250 0.377
```

Top 10 peaks for 10° ≤ 2θ ≤ 80°, in order of falling intensity:
(2 1 0), 2θ 20.28, d 4.379, rel. 100
(0 2 0), 2θ 19.64, d 4.520, rel. 88
(1 1 1), 2θ 21.52, d 4.129, rel. 59
(1 0 1), 2θ 19.12, d 4.643, rel. 39
(1 2 1), 2θ 27.56, d 3.236, rel. 27
(3 0 1), 2θ 31.72, d 2.821, rel. 23
(2 0 1), 2θ 24.59, d 3.621, rel. 17
(3 3 1), 2θ 44.05, d 2.056, rel. 17
(2 3 0), 2θ 34.78, d 2.579, rel. 15
(4 2 0), 2θ 41.21, d 2.191, rel. 14

# TeF5
Simulated powder XRD pattern, CuKα. Input: a DFT-relaxed cell (PBE, Alexandria).

Structure:
```
data_TeF5
_cell_length_a 9.718
_cell_length_b 5.787
_cell_length_c 9.110
_cell_angle_alpha 90.00
_cell_angle_beta 119.99
_cell_angle_gamma 90.00
_space_group_name_H-M_alt 'C 1 c 1'
_space_group_IT_number 9
loop_
_space_group_symop_operation_xyz
'x,y,z'
'x,-y,z+1/2'
'x+1/2,y+1/2,z'
'x+1/2,-y+1/2,z+1/2'
loop_
_atom_site_label
_atom_site_type_symbol
_atom_site_fract_x
_atom_site_fract_y
_atom_site_fract_z
Te1 Te 0.000 0.021 0.000
F1 F 0.076 0.308 0.959
F2 F 0.215 0.089 0.631
F3 F 0.284 0.376 0.358
F4 F 0.423 0.228 0.027
F5 F 0.495 0.402 0.804
```

Top 10 peaks for 10° ≤ 2θ ≤ 80°, in order of falling intensity:
(1 1 0), 2θ 18.61, d 4.769, rel. 100
(1 1 -2), 2θ 24.89, d 3.578, rel. 47
(2 0 -2), 2θ 21.86, d 4.066, rel. 35
(2 0 0), 2θ 21.11, d 4.208, rel. 33
(0 0 2), 2θ 22.54, d 3.945, rel. 33
(3 1 0), 2θ 35.56, d 2.525, rel. 14
(3 1 -4), 2θ 43.72, d 2.071, rel. 14
(2 2 -4), 2θ 51.01, d 1.790, rel. 13
(3 1 -2), 2θ 32.38, d 2.765, rel. 11
(2 2 -2), 2θ 38.17, d 2.358, rel. 11